Computed XRD peak list
Compound: ThMg4Ge2
Radiation: a wavelength of 1.5418 Å
Structure: a GGA-PBE-relaxed structure

Structure:
a b c (Å): 8.645 8.645 4.265
angles (deg): 90.00 90.00 151.36
Sites, in units of the cell vectors:
Th1 0.000 0.000 0.000
Mg1 0.178 0.822 0.500
Mg2 0.321 0.679 0.000
Mg3 0.679 0.321 0.000
Mg4 0.822 0.178 0.500
Ge1 0.425 0.575 0.500
Ge2 0.575 0.425 0.500

The 10 most intense peaks (2θ from 10° to 90°), in order of rising 2θ:
2θ/deg, d/Å, Rel. int.
10.6, 8.376, 100
26.2, 3.395, 17
29.9, 2.988, 24
30.1, 2.972, 61
33.7, 2.656, 56
34.0, 2.637, 25
38.5, 2.336, 22
42.3, 2.138, 14
42.4, 2.133, 14
43.3, 2.088, 16


Computed XRD peak list
Compound: SnSe2O8
Radiation: a wavelength of 1.5418 Å
Structure: a GGA-PBE-relaxed structure

Structure:
a b c (Å): 5.511 5.511 6.651
angles (deg): 90.00 90.00 120.00
Sites, in units of the cell vectors:
Sn1 0.000 0.000 0.000
Se1 0.333 0.667 0.280
Se2 0.667 0.333 0.720
O1 0.168 0.336 0.192
O2 0.168 0.832 0.192
O3 0.333 0.667 0.523
O4 0.336 0.168 0.808
O5 0.664 0.832 0.192
O6 0.667 0.333 0.477
O7 0.832 0.168 0.808
O8 0.832 0.664 0.808

The 10 most intense peaks (2θ from 10° to 90°), in order of rising 2θ:
2θ/deg, d/Å, Rel. int.
13.3, 6.651, 10
22.9, 3.877, 100
32.5, 2.755, 31
32.8, 2.728, 22
40.1, 2.246, 10
45.1, 2.011, 8
46.9, 1.939, 16
52.6, 1.741, 20
53.0, 1.727, 9
58.2, 1.586, 9


Computed XRD peak list
Compound: Ag3Mo5
Radiation: a wavelength of 1.5418 Å
Structure: a GGA-PBE-relaxed structure

Structure:
a b c (Å): 7.660 7.660 7.704
angles (deg): 96.34 96.34 140.15
Sites, in units of the cell vectors:
Ag1 0.000 0.000 0.000
Ag2 0.140 0.140 0.698
Ag3 0.290 0.850 0.899
Ag4 0.375 0.722 0.349
Ag5 0.722 0.375 0.349
Ag6 0.850 0.290 0.899
Mo1 0.126 0.832 0.216
Mo2 0.314 0.314 0.387
Mo3 0.348 0.995 0.569
Mo4 0.413 0.591 0.010
Mo5 0.528 0.725 0.698
Mo6 0.591 0.413 0.010
Mo7 0.725 0.528 0.698
Mo8 0.799 0.799 0.348
Mo9 0.832 0.126 0.216
Mo10 0.995 0.348 0.569

The 10 most intense peaks (2θ from 10° to 90°), in order of rising 2θ:
2θ/deg, d/Å, Rel. int.
35.0, 2.561, 34
36.1, 2.489, 84
36.4, 2.470, 45
38.9, 2.315, 100
39.1, 2.302, 60
39.5, 2.280, 55
40.2, 2.246, 92
40.3, 2.237, 97
42.3, 2.138, 50
42.8, 2.113, 37


Computed XRD peak list
Compound: Tm5Tl2Os2
Radiation: a wavelength of 1.5418 Å
Structure: a GGA-PBE-relaxed structure

Structure:
a b c (Å): 9.033 9.033 7.458
angles (deg): 90.00 90.00 48.47
Sites, in units of the cell vectors:
Tm1 0.000 0.000 0.000
Tm2 0.063 0.704 0.677
Tm3 0.204 0.563 0.177
Tm4 0.296 0.937 0.677
Tm5 0.437 0.796 0.177
Tm6 0.500 0.500 0.500
Tm7 0.563 0.204 0.823
Tm8 0.704 0.063 0.323
Tm9 0.796 0.437 0.823
Tm10 0.937 0.296 0.323
Tl1 0.225 0.225 0.000
Tl2 0.275 0.275 0.500
Tl3 0.725 0.725 0.500
Tl4 0.775 0.775 0.000
Os1 0.118 0.882 0.379
Os2 0.382 0.618 0.879
Os3 0.618 0.382 0.121
Os4 0.882 0.118 0.621

The 10 most intense peaks (2θ from 10° to 90°), in order of rising 2θ:
2θ/deg, d/Å, Rel. int.
10.7, 8.237, 42
31.4, 2.848, 71
32.4, 2.764, 95
32.5, 2.756, 100
34.1, 2.629, 69
34.7, 2.585, 97
38.4, 2.343, 66
38.6, 2.333, 56
38.8, 2.323, 53
44.0, 2.059, 40